Entry 1:
Ba4LaTiNb3O15: calculated X-ray powder pattern (copper Kα), based on the GGA-PBE geometry in the Materials Project.
Peak positions follow from Bragg's law for the DFT cell and can differ from measured ones.

Main lines, by intensity (5 to 70 degrees two-theta):
Position (°2θ)  I_rel
28.97  100
30.75  88
42.75  56
53.57  35
50.19  19
64.04  18
54.67  17
68.96  15
60.02  14
38.94  11
23.31  6
19.19  4

Atomic structure:
```
24
Lattice="5.816 0.000 0.000 -2.908 5.037 0.000 0.000 0.000 11.694" Properties=species:S:1:pos:R:3 pbc="T T T"
Ba 0.000 0.000 0.000
Ba 0.000 0.000 4.380
Ba 0.000 3.358 9.204
Ba 2.908 1.679 6.809
La 0.000 3.358 1.572
Ti 0.000 3.358 5.466
Nb 0.000 0.000 7.958
Nb 2.908 1.679 3.096
Nb 2.908 1.679 10.547
O -1.449 2.521 11.508
O -1.413 2.542 4.539
O 0.000 1.664 6.863
O -1.467 4.204 6.863
O 1.451 0.838 9.200
O 1.467 0.847 2.225
O 1.413 2.542 4.539
O 0.000 4.990 4.539
O 1.449 2.521 11.508
O 0.000 5.031 11.508
O 1.467 4.204 6.863
O 4.349 0.847 2.225
O 2.908 3.343 2.225
O 4.365 0.838 9.200
O 2.908 3.361 9.200
```

***

Entry 2:
Rb2NaSbBr6: calculated X-ray powder pattern (copper Kα), based on the GGA-PBE geometry in the Materials Project.
Peak positions follow from Bragg's law for the DFT cell and can differ from measured ones.

Main lines, by intensity (5 to 70 degrees two-theta):
Position (°2θ)  I_rel
31.21  100
26.95  81
44.72  72
52.99  35
55.55  25
13.38  19
21.93  18
15.46  16
65.10  11
25.78  8
35.01  8
38.48  8

Atomic structure:
```
10
Lattice="0.000 5.731 5.731 5.731 0.000 5.731 5.731 5.731 0.000" Properties=species:S:1:pos:R:3 pbc="T T T"
Rb 2.866 2.866 2.866
Rb 8.597 8.597 8.597
Na 0.000 0.000 0.000
Sb 5.731 5.731 5.731
Br 5.731 5.731 2.921
Br 5.731 2.921 5.731
Br 8.542 5.731 5.731
Br 2.921 5.731 5.731
Br 5.731 8.542 5.731
Br 5.731 5.731 8.542
```

***

Entry 3:
Cs2Se: calculated X-ray powder pattern (copper Kα), based on the GGA-PBE geometry in the Materials Project.
Peak positions follow from Bragg's law for the DFT cell and can differ from measured ones.

Main lines, by intensity (5 to 70 degrees two-theta):
Position (°2θ)  I_rel
22.98  100
32.53  43
32.92  32
40.20  23
52.64  20
45.25  17
58.29  12
46.96  12
67.03  11
42.71  11
65.80  10
13.36  10

Atomic structure:
```
3
Lattice="5.505 0.000 0.000 -2.753 4.767 0.000 0.000 0.000 6.626" Properties=species:S:1:pos:R:3 pbc="T T T"
Cs 0.000 3.178 1.584
Cs 2.753 1.589 5.043
Se 0.000 0.000 0.000
```

***

Entry 4:
Tb4CdCo: calculated X-ray powder pattern (copper Kα), based on the GGA-PBE geometry in the Materials Project.
Peak positions follow from Bragg's law for the DFT cell and can differ from measured ones.

Main lines, by intensity (5 to 70 degrees two-theta):
Position (°2θ)  I_rel
34.55  100
32.52  61
58.02  53
28.85  34
37.73  26
69.31  16
55.78  14
59.33  13
52.08  8
48.18  7
39.52  5
44.02  3

Atomic structure:
```
24
Lattice="0.000 6.745 6.745 6.745 0.000 6.745 6.745 6.745 0.000" Properties=species:S:1:pos:R:3 pbc="T T T"
Tb 6.745 6.745 2.540
Tb 6.745 2.540 6.745
Tb 10.949 6.745 6.745
Tb 5.443 5.443 5.443
Tb 8.046 8.046 5.443
Tb 8.046 5.443 8.046
Tb 10.117 10.117 7.574
Tb 10.117 7.574 10.117
Tb 12.660 10.117 10.117
Tb 5.443 8.046 8.046
Tb 2.540 6.745 6.745
Tb 6.745 10.949 6.745
Tb 6.745 6.745 10.949
Tb 7.574 10.117 10.117
Tb 10.117 12.660 10.117
Tb 10.117 10.117 12.660
Cd 2.289 2.289 2.289
Cd 4.456 4.456 2.289
Cd 4.456 2.289 4.456
Cd 2.289 4.456 4.456
Co 8.214 5.275 5.275
Co 5.275 8.214 5.275
Co 5.275 5.275 8.214
Co 8.214 8.214 8.214
```

***

Entry 5:
KSe2O6: calculated X-ray powder pattern (copper Kα), based on the GGA-PBE geometry in the Materials Project.
Peak positions follow from Bragg's law for the DFT cell and can differ from measured ones.

Main lines, by intensity (5 to 70 degrees two-theta):
Position (°2θ)  I_rel
24.38  100
27.66  57
29.64  26
28.91  23
19.18  18
21.42  12
37.37  12
46.01  11
21.15  11
44.14  10
10.53  10
23.16  9

Atomic structure:
```
36
Lattice="6.148 0.000 0.000 0.000 16.803 0.000 -1.238 0.000 6.177" Properties=species:S:1:pos:R:3 pbc="T T T"
K 1.147 0.048 1.694
K 0.528 8.354 4.783
K 4.382 8.449 1.394
K 3.763 16.756 4.483
Se 1.075 11.308 1.852
Se 0.456 13.897 4.941
Se 0.768 2.406 4.958
Se 1.387 5.996 1.870
Se 3.523 10.807 4.308
Se 4.142 14.397 1.219
Se 4.454 2.906 1.236
Se 3.835 5.495 4.325
O -0.503 1.507 5.541
O 0.116 6.894 2.452
O 0.623 10.019 0.904
O 0.004 15.185 3.993
O 0.380 3.972 4.689
O 0.999 4.430 1.600
O 1.823 12.501 0.959
O 1.204 12.704 4.048
O 1.652 1.647 3.792
O 2.271 6.754 0.703
O 2.438 10.457 2.789
O 1.819 14.748 5.878
O 3.091 2.055 0.299
O 2.472 6.346 3.388
O 2.639 10.049 5.474
O 3.258 15.156 2.385
O 3.706 4.099 2.130
O 3.087 4.302 5.218
O 3.910 12.374 4.577
O 4.529 12.831 1.489
O 4.905 1.618 2.184
O 4.286 6.784 5.273
O 4.793 9.909 3.725
O 5.412 15.296 0.637
```

***

Entry 6:
Ba2Zr7O16: calculated X-ray powder pattern (copper Kα), based on the GGA-PBE geometry in the Materials Project.
Peak positions follow from Bragg's law for the DFT cell and can differ from measured ones.

Main lines, by intensity (5 to 70 degrees two-theta):
Position (°2θ)  I_rel
28.89  100
33.58  36
48.45  30
29.23  30
48.00  30
57.20  23
57.59  13
57.00  12
59.85  7
40.33  4
15.92  3
60.62  3

Atomic structure:
```
25
Lattice="3.283 1.895 9.166 -3.283 1.895 9.166 0.000 -3.791 9.166" Properties=species:S:1:pos:R:3 pbc="T T T"
Ba 0.000 0.000 4.577
Ba 0.000 0.000 22.920
Zr -1.221 -2.094 10.546
Zr -2.424 0.010 16.951
Zr -1.203 2.105 10.546
Zr 0.000 0.000 13.749
Zr 1.203 -2.105 16.951
Zr 2.424 -0.010 10.546
Zr 1.221 2.094 16.951
O 0.000 0.000 1.882
O -1.867 0.071 9.973
O -0.907 -1.498 12.513
O 0.000 0.000 7.316
O -1.751 0.037 14.985
O -0.995 -1.581 17.524
O 0.872 -1.652 9.973
O -0.844 1.535 12.513
O 0.844 -1.535 14.985
O -0.872 1.652 17.524
O 0.995 1.581 9.973
O 1.751 -0.037 12.513
O 0.000 0.000 20.181
O 0.907 1.498 14.985
O 1.867 -0.071 17.524
O 0.000 0.000 25.615
```

***

Entry 7:
Tm2Fe17C3: calculated X-ray powder pattern (copper Kα), based on the GGA-PBE geometry in the Materials Project.
Peak positions follow from Bragg's law for the DFT cell and can differ from measured ones.

Main lines, by intensity (5 to 70 degrees two-theta):
Position (°2θ)  I_rel
42.39  100
42.03  73
29.87  47
36.19  41
40.53  37
43.47  35
61.23  22
62.06  21
45.91  20
33.61  17
54.85  15
69.34  14

Atomic structure:
```
44
Lattice="8.599 0.000 0.000 -4.300 7.447 0.000 0.000 0.000 8.328" Properties=species:S:1:pos:R:3 pbc="T T T"
Tm 0.000 0.000 2.082
Tm 0.000 0.000 6.246
Tm 0.000 4.965 2.082
Tm 4.300 2.482 6.246
Fe -2.150 3.724 0.000
Fe -2.150 3.724 4.164
Fe -1.177 2.815 6.246
Fe -2.450 5.021 6.246
Fe 0.000 2.501 0.167
Fe 0.000 2.501 3.997
Fe -2.133 6.196 0.167
Fe -2.133 6.196 3.997
Fe 1.177 2.815 6.246
Fe -1.274 7.059 6.246
Fe 0.000 4.965 5.053
Fe 0.000 4.965 7.439
Fe 2.166 1.251 4.331
Fe 2.166 1.251 8.161
Fe 3.026 0.388 2.082
Fe 1.849 2.426 2.082
Fe 4.300 0.000 0.000
Fe 4.300 0.000 4.164
Fe 2.150 3.724 0.000
Fe 2.150 3.724 4.164
Fe 2.450 5.021 6.246
Fe 1.274 7.059 6.246
Fe 2.133 6.196 0.167
Fe 2.133 6.196 3.997
Fe 4.300 2.482 0.889
Fe 4.300 2.482 3.275
Fe 5.573 0.388 2.082
Fe 3.123 4.632 2.082
Fe 6.433 1.251 4.331
Fe 6.433 1.251 8.161
Fe 4.300 4.946 4.331
Fe 4.300 4.946 8.161
Fe 6.750 2.426 2.082
Fe 5.476 4.632 2.082
C 0.000 2.464 2.082
C -2.165 6.215 2.082
C 2.134 1.232 6.246
C 2.165 6.215 2.082
C 6.465 1.232 6.246
C 4.300 4.983 6.246
```

***

Entry 8:
Sr4LiSm2Ta2O12: calculated X-ray powder pattern (copper Kα), based on the GGA-PBE geometry in the Materials Project.
Peak positions follow from Bragg's law for the DFT cell and can differ from measured ones.

Main lines, by intensity (5 to 70 degrees two-theta):
Position (°2θ)  I_rel
29.85  100
29.29  96
30.11  53
29.59  52
20.99  37
53.01  32
42.66  27
42.79  26
41.90  24
20.60  24
53.32  23
52.88  23

Atomic structure:
```
21
Lattice="5.982 0.000 0.000 0.123 6.097 0.000 0.012 0.218 8.478" Properties=species:S:1:pos:R:3 pbc="T T T"
Sr 0.000 0.000 0.000
Sr 0.135 0.302 4.463
Sr 3.305 3.386 4.439
Sr 3.434 3.811 0.214
Li 1.288 2.298 0.429
Sm 0.245 3.535 6.521
Sm 3.134 0.574 2.389
Ta 0.258 3.656 2.474
Ta 3.124 0.587 6.608
O 0.815 3.771 4.365
O 1.312 5.402 2.118
O 1.659 5.445 6.796
O 1.994 2.600 2.059
O 2.030 2.211 7.235
O 2.668 0.859 4.672
O 3.549 0.170 0.140
O 4.444 5.044 6.319
O 4.617 4.829 2.767
O 4.803 1.737 6.326
O 5.073 2.053 2.787
O 5.892 3.539 0.397
```

***

Please write out number 7 again, unchanged.
Tm2Fe17C3: calculated X-ray powder pattern (copper Kα), based on the GGA-PBE geometry in the Materials Project.
Peak positions follow from Bragg's law for the DFT cell and can differ from measured ones.

Main lines, by intensity (5 to 70 degrees two-theta):
Position (°2θ)  I_rel
42.39  100
42.03  73
29.87  47
36.19  41
40.53  37
43.47  35
61.23  22
62.06  21
45.91  20
33.61  17
54.85  15
69.34  14

Atomic structure:
```
44
Lattice="8.599 0.000 0.000 -4.300 7.447 0.000 0.000 0.000 8.328" Properties=species:S:1:pos:R:3 pbc="T T T"
Tm 0.000 0.000 2.082
Tm 0.000 0.000 6.246
Tm 0.000 4.965 2.082
Tm 4.300 2.482 6.246
Fe -2.150 3.724 0.000
Fe -2.150 3.724 4.164
Fe -1.177 2.815 6.246
Fe -2.450 5.021 6.246
Fe 0.000 2.501 0.167
Fe 0.000 2.501 3.997
Fe -2.133 6.196 0.167
Fe -2.133 6.196 3.997
Fe 1.177 2.815 6.246
Fe -1.274 7.059 6.246
Fe 0.000 4.965 5.053
Fe 0.000 4.965 7.439
Fe 2.166 1.251 4.331
Fe 2.166 1.251 8.161
Fe 3.026 0.388 2.082
Fe 1.849 2.426 2.082
Fe 4.300 0.000 0.000
Fe 4.300 0.000 4.164
Fe 2.150 3.724 0.000
Fe 2.150 3.724 4.164
Fe 2.450 5.021 6.246
Fe 1.274 7.059 6.246
Fe 2.133 6.196 0.167
Fe 2.133 6.196 3.997
Fe 4.300 2.482 0.889
Fe 4.300 2.482 3.275
Fe 5.573 0.388 2.082
Fe 3.123 4.632 2.082
Fe 6.433 1.251 4.331
Fe 6.433 1.251 8.161
Fe 4.300 4.946 4.331
Fe 4.300 4.946 8.161
Fe 6.750 2.426 2.082
Fe 5.476 4.632 2.082
C 0.000 2.464 2.082
C -2.165 6.215 2.082
C 2.134 1.232 6.246
C 2.165 6.215 2.082
C 6.465 1.232 6.246
C 4.300 4.983 6.246
```

***

What did the sixth record say?
Ba2Zr7O16: calculated X-ray powder pattern (copper Kα), based on the GGA-PBE geometry in the Materials Project.
Peak positions follow from Bragg's law for the DFT cell and can differ from measured ones.

Main lines, by intensity (5 to 70 degrees two-theta):
Position (°2θ)  I_rel
28.89  100
33.58  36
48.45  30
29.23  30
48.00  30
57.20  23
57.59  13
57.00  12
59.85  7
40.33  4
15.92  3
60.62  3

Atomic structure:
```
25
Lattice="3.283 1.895 9.166 -3.283 1.895 9.166 0.000 -3.791 9.166" Properties=species:S:1:pos:R:3 pbc="T T T"
Ba 0.000 0.000 4.577
Ba 0.000 0.000 22.920
Zr -1.221 -2.094 10.546
Zr -2.424 0.010 16.951
Zr -1.203 2.105 10.546
Zr 0.000 0.000 13.749
Zr 1.203 -2.105 16.951
Zr 2.424 -0.010 10.546
Zr 1.221 2.094 16.951
O 0.000 0.000 1.882
O -1.867 0.071 9.973
O -0.907 -1.498 12.513
O 0.000 0.000 7.316
O -1.751 0.037 14.985
O -0.995 -1.581 17.524
O 0.872 -1.652 9.973
O -0.844 1.535 12.513
O 0.844 -1.535 14.985
O -0.872 1.652 17.524
O 0.995 1.581 9.973
O 1.751 -0.037 12.513
O 0.000 0.000 20.181
O 0.907 1.498 14.985
O 1.867 -0.071 17.524
O 0.000 0.000 25.615
```